No. 1
Calculated powder diffraction line list
Compound: U6Al8Fe5Si9
Radiation: Cu Ka
Structure: a structure optimized by DFT (GGA-PBE)
Lines closer than 0.1° are merged.

Structure:
```
data_U6Al8Fe5Si9
_chemical_formula_sum 'U6 Al8 Fe5 Si9'
_symmetry_space_group_name_H-M 'P 1'
_symmetry_Int_Tables_number 1
_symmetry_space_group_name_Hall 'P 1'
_cell_length_a 11.094
_cell_length_b 11.094
_cell_length_c 11.094
_cell_angle_alpha 158.83
_cell_angle_beta 113.45
_cell_angle_gamma 70.70
loop_
_atom_site_label
_atom_site_type_symbol
_atom_site_fract_x
_atom_site_fract_y
_atom_site_fract_z
U1 U 0.128 0.128 0.000
U2 U 0.188 0.875 0.314
U3 U 0.439 0.125 0.314
U4 U 0.561 0.875 0.686
U5 U 0.812 0.125 0.686
U6 U 0.872 0.872 0.000
Al1 Al 0.149 0.000 0.149
Al2 Al 0.265 0.765 0.500
Al3 Al 0.335 0.500 0.835
Al4 Al 0.384 0.384 0.000
Al5 Al 0.616 0.616 0.000
Al6 Al 0.665 0.500 0.165
Al7 Al 0.735 0.235 0.500
Al8 Al 0.851 0.000 0.851
Fe1 Fe 0.000 0.500 0.500
Fe2 Fe 0.029 0.714 0.315
Fe3 Fe 0.399 0.714 0.685
Fe4 Fe 0.601 0.286 0.315
Fe5 Fe 0.971 0.286 0.685
Si1 Si 0.066 0.412 0.654
Si2 Si 0.131 0.262 0.870
Si3 Si 0.243 0.588 0.654
Si4 Si 0.392 0.262 0.130
Si5 Si 0.500 0.000 0.500
Si6 Si 0.608 0.738 0.870
Si7 Si 0.757 0.412 0.346
Si8 Si 0.869 0.738 0.130
Si9 Si 0.934 0.588 0.346
```

The 12 most intense peaks (15° ≤ 2θ ≤ 90°), by angle:
19.62°, rel. 42; 22.41°, rel. 73; 26.43°, rel. 54; 31.10°, rel. 56; 33.13°, rel. 48; 37.04°, rel. 100; 39.86°, rel. 27; 41.38°, rel. 47; 44.46°, rel. 27; 44.66°, rel. 17; 51.39°, rel. 15; 70.51°, rel. 17

No. 2
Calculated powder diffraction line list
Compound: Sm2Al2Fe15
Radiation: Cu Ka
Structure: a structure optimized by DFT (GGA-PBE)
Lines closer than 0.1° are merged.

Structure:
```
data_Sm2Al2Fe15
_chemical_formula_sum 'Sm2 Al2 Fe15'
_symmetry_space_group_name_H-M 'P 1'
_symmetry_Int_Tables_number 1
_symmetry_space_group_name_Hall 'P 1'
_cell_length_a 6.399
_cell_length_b 6.399
_cell_length_c 6.399
_cell_angle_alpha 82.20
_cell_angle_beta 82.20
_cell_angle_gamma 82.20
loop_
_atom_site_label
_atom_site_type_symbol
_atom_site_fract_x
_atom_site_fract_y
_atom_site_fract_z
Sm1 Sm 0.153 0.153 0.153
Sm2 Sm 0.847 0.847 0.847
Al1 Al 0.398 0.398 0.398
Al2 Al 0.602 0.602 0.602
Fe1 Fe 0.000 0.500 0.500
Fe2 Fe 0.159 0.159 0.658
Fe3 Fe 0.159 0.658 0.159
Fe4 Fe 0.208 0.500 0.792
Fe5 Fe 0.208 0.792 0.500
Fe6 Fe 0.342 0.841 0.841
Fe7 Fe 0.500 0.000 0.500
Fe8 Fe 0.500 0.208 0.792
Fe9 Fe 0.500 0.500 0.000
Fe10 Fe 0.500 0.792 0.208
Fe11 Fe 0.658 0.159 0.159
Fe12 Fe 0.792 0.208 0.500
Fe13 Fe 0.792 0.500 0.208
Fe14 Fe 0.841 0.342 0.841
Fe15 Fe 0.841 0.841 0.342
```

The 12 most intense peaks (15° ≤ 2θ ≤ 90°), by angle:
25.47°, rel. 15; 30.19°, rel. 40; 37.01°, rel. 31; 37.94°, rel. 23; 43.00°, rel. 51; 43.11°, rel. 100; 43.45°, rel. 36; 43.82°, rel. 17; 48.48°, rel. 20; 62.52°, rel. 16; 62.78°, rel. 20; 70.91°, rel. 15

No. 3
Calculated powder diffraction line list
Compound: U2Al20Fe
Radiation: Cu Ka
Structure: a structure optimized by DFT (GGA-PBE)
Lines closer than 0.1° are merged.

Structure:
```
data_U2Al20Fe
_chemical_formula_sum 'U4 Al40 Fe2'
_symmetry_space_group_name_H-M 'P 1'
_symmetry_Int_Tables_number 1
_symmetry_space_group_name_Hall 'P 1'
_cell_length_a 10.274
_cell_length_b 10.274
_cell_length_c 10.274
_cell_angle_alpha 103.96
_cell_angle_beta 103.96
_cell_angle_gamma 121.17
loop_
_atom_site_label
_atom_site_type_symbol
_atom_site_fract_x
_atom_site_fract_y
_atom_site_fract_z
U1 U 0.087 0.087 0.676
U2 U 0.412 0.412 0.324
U3 U 0.588 0.913 0.000
U4 U 0.913 0.588 0.000
Al1 Al 0.000 0.152 0.152
Al2 Al 0.000 0.848 0.848
Al3 Al 0.016 0.338 0.852
Al4 Al 0.037 0.768 0.588
Al5 Al 0.052 0.321 0.588
Al6 Al 0.152 0.000 0.152
Al7 Al 0.163 0.486 0.148
Al8 Al 0.180 0.449 0.412
Al9 Al 0.225 0.225 0.475
Al10 Al 0.232 0.820 0.269
Al11 Al 0.249 0.249 0.000
Al12 Al 0.250 0.750 0.500
Al13 Al 0.250 0.775 0.000
Al14 Al 0.267 0.679 0.731
Al15 Al 0.321 0.052 0.588
Al16 Al 0.338 0.016 0.852
Al17 Al 0.348 0.500 0.848
Al18 Al 0.449 0.180 0.412
Al19 Al 0.464 0.733 0.412
Al20 Al 0.486 0.163 0.148
Al21 Al 0.500 0.348 0.848
Al22 Al 0.500 0.652 0.152
Al23 Al 0.514 0.662 0.677
Al24 Al 0.536 0.948 0.269
Al25 Al 0.551 0.963 0.731
Al26 Al 0.652 0.500 0.152
Al27 Al 0.662 0.514 0.677
Al28 Al 0.679 0.267 0.731
Al29 Al 0.733 0.464 0.412
Al30 Al 0.750 0.250 0.500
Al31 Al 0.750 0.750 0.525
Al32 Al 0.751 0.751 0.000
Al33 Al 0.768 0.037 0.588
Al34 Al 0.775 0.250 0.000
Al35 Al 0.820 0.232 0.269
Al36 Al 0.837 0.984 0.323
Al37 Al 0.848 0.000 0.848
Al38 Al 0.948 0.536 0.269
Al39 Al 0.963 0.551 0.731
Al40 Al 0.984 0.837 0.323
Fe1 Fe 0.000 0.500 0.500
Fe2 Fe 0.500 0.000 0.500
```

The 12 most intense peaks (15° ≤ 2θ ≤ 90°), by angle:
17.58°, rel. 16; 17.97°, rel. 100; 22.21°, rel. 20; 22.54°, rel. 16; 30.44°, rel. 21; 30.92°, rel. 21; 34.94°, rel. 39; 36.40°, rel. 16; 39.37°, rel. 42; 39.75°, rel. 32; 42.35°, rel. 21; 65.63°, rel. 13

No. 4
Calculated powder diffraction line list
Compound: Zr4Al5Fe2
Radiation: Cu Ka
Structure: a structure optimized by DFT (GGA-PBE)
Lines closer than 0.1° are merged.

Structure:
```
data_Zr4Al5Fe2
_chemical_formula_sum 'Zr4 Al5 Fe2'
_symmetry_space_group_name_H-M 'P 1'
_symmetry_Int_Tables_number 1
_symmetry_space_group_name_Hall 'P 1'
_cell_length_a 7.012
_cell_length_b 3.200
_cell_length_c 8.803
_cell_angle_alpha 90.00
_cell_angle_beta 94.12
_cell_angle_gamma 90.00
loop_
_atom_site_label
_atom_site_type_symbol
_atom_site_fract_x
_atom_site_fract_y
_atom_site_fract_z
Zr1 Zr 0.168 0.000 0.359
Zr2 Zr 0.227 0.000 0.946
Zr3 Zr 0.773 0.000 0.054
Zr4 Zr 0.832 0.000 0.641
Al1 Al 0.183 0.500 0.655
Al2 Al 0.448 0.500 0.186
Al3 Al 0.500 0.500 0.500
Al4 Al 0.552 0.500 0.814
Al5 Al 0.817 0.500 0.345
Fe1 Fe 0.072 0.500 0.141
Fe2 Fe 0.928 0.500 0.859
```

The 12 most intense peaks (15° ≤ 2θ ≤ 90°), by angle:
15.62°, rel. 32; 23.14°, rel. 36; 36.53°, rel. 85; 37.59°, rel. 100; 38.12°, rel. 84; 38.64°, rel. 54; 40.03°, rel. 34; 41.64°, rel. 39; 41.83°, rel. 68; 42.26°, rel. 36; 42.59°, rel. 81; 57.60°, rel. 33

No. 5
Calculated powder diffraction line list
Compound: Gd2Al3Ga3
Radiation: Cu Ka
Structure: a structure optimized by DFT (GGA-PBE)
Lines closer than 0.1° are merged.

Structure:
```
data_Gd2Al3Ga3
_chemical_formula_sum 'Gd2 Al3 Ga3'
_symmetry_space_group_name_H-M 'P 1'
_symmetry_Int_Tables_number 1
_symmetry_space_group_name_Hall 'P 1'
_cell_length_a 4.561
_cell_length_b 6.343
_cell_length_c 6.343
_cell_angle_alpha 60.00
_cell_angle_beta 90.00
_cell_angle_gamma 90.00
loop_
_atom_site_label
_atom_site_type_symbol
_atom_site_fract_x
_atom_site_fract_y
_atom_site_fract_z
Gd1 Gd 0.000 0.000 0.000
Gd2 Gd 0.500 0.334 0.334
Al1 Al 0.000 0.522 0.955
Al2 Al 0.000 0.955 0.522
Al3 Al 0.500 0.810 0.810
Ga1 Ga 0.000 0.520 0.520
Ga2 Ga 0.500 0.373 0.816
Ga3 Ga 0.500 0.816 0.373
```

The 12 most intense peaks (15° ≤ 2θ ≤ 90°), by angle:
16.13°, rel. 14; 25.38°, rel. 48; 28.13°, rel. 22; 32.60°, rel. 26; 38.25°, rel. 100; 39.52°, rel. 21; 43.59°, rel. 11; 52.13°, rel. 14; 58.17°, rel. 17; 70.84°, rel. 16; 71.78°, rel. 12; 72.61°, rel. 17

No. 6
Calculated powder diffraction line list
Compound: Gd2HoMg3AlGa2
Radiation: Cu Ka
Structure: a structure optimized by DFT (GGA-PBE)
Lines closer than 0.1° are merged.

Structure:
```
data_Gd2HoMg3AlGa2
_chemical_formula_sum 'Gd2 Ho1 Mg3 Al1 Ga2'
_symmetry_space_group_name_H-M 'P 1'
_symmetry_Int_Tables_number 1
_symmetry_space_group_name_Hall 'P 1'
_cell_length_a 4.511
_cell_length_b 7.290
_cell_length_c 7.290
_cell_angle_alpha 119.73
_cell_angle_beta 90.00
_cell_angle_gamma 90.00
loop_
_atom_site_label
_atom_site_type_symbol
_atom_site_fract_x
_atom_site_fract_y
_atom_site_fract_z
Gd1 Gd 0.000 0.217 0.783
Gd2 Gd 0.000 0.783 0.217
Ho1 Ho 0.000 0.349 0.349
Mg1 Mg 0.500 0.027 0.027
Mg2 Mg 0.500 0.538 0.782
Mg3 Mg 0.500 0.782 0.538
Al1 Al 0.000 0.780 0.780
Ga1 Ga 0.500 0.118 0.448
Ga2 Ga 0.500 0.448 0.118
```

The 12 most intense peaks (15° ≤ 2θ ≤ 90°), by angle:
19.68°, rel. 21; 24.42°, rel. 13; 28.19°, rel. 21; 31.53°, rel. 85; 34.65°, rel. 100; 37.69°, rel. 19; 39.97°, rel. 24; 42.86°, rel. 11; 49.65°, rel. 13; 56.04°, rel. 13; 56.15°, rel. 17; 69.19°, rel. 13